No. 1
# Er5Rh3
Computed PXRD pattern, Cu Kα X-rays. Input: a cell relaxed with GGA-PBE.

Largest 8 diffraction maxima, in order of falling intensity, 15° ≤ 2θ ≤ 90°:
| 2θ/deg | I (rel.) |
| --- | --- |
| 37.19 | 100 |
| 29.75 | 57 |
| 33.11 | 40 |
| 34.00 | 38 |
| 38.91 | 23 |
| 37.97 | 20 |
| 39.97 | 19 |
| 29.56 | 19 |

Cell and atoms:
abc: 10.804 10.804 6.294
angles: 90.00 90.00 90.00
Fractional coordinates of all 32 atoms:
Er 0.041 0.162 0.122
Er 0.041 0.338 0.622
Er 0.162 0.041 0.622
Er 0.162 0.459 0.122
Er 0.250 0.750 0.000
Er 0.250 0.750 0.500
Er 0.338 0.041 0.122
Er 0.338 0.459 0.622
Er 0.459 0.162 0.622
Er 0.459 0.338 0.122
Er 0.541 0.662 0.878
Er 0.541 0.838 0.378
Er 0.662 0.541 0.378
Er 0.662 0.959 0.878
Er 0.750 0.250 0.000
Er 0.750 0.250 0.500
Er 0.838 0.541 0.878
Er 0.838 0.959 0.378
Er 0.959 0.662 0.378
Er 0.959 0.838 0.878
Rh 0.096 0.596 0.750
Rh 0.096 0.904 0.250
Rh 0.250 0.250 0.376
Rh 0.250 0.250 0.876
Rh 0.404 0.596 0.250
Rh 0.404 0.904 0.750
Rh 0.596 0.096 0.250
Rh 0.596 0.404 0.750
Rh 0.750 0.750 0.124
Rh 0.750 0.750 0.624
Rh 0.904 0.096 0.750
Rh 0.904 0.404 0.250


No. 2
# KYTe3Pb
Computed PXRD pattern, Cu Kα X-rays. Input: a cell relaxed with GGA-PBE.

Largest 8 diffraction maxima, in order of falling intensity, 15° ≤ 2θ ≤ 90°:
| 2θ/deg | I (rel.) |
| --- | --- |
| 27.36 | 100 |
| 40.19 | 40 |
| 24.98 | 35 |
| 34.36 | 24 |
| 37.98 | 18 |
| 44.16 | 17 |
| 32.75 | 15 |
| 34.21 | 15 |

Cell and atoms:
abc: 9.715 4.490 10.960
angles: 90.00 102.69 90.00
Fractional coordinates of all 12 atoms:
K 0.170 0.250 0.197
K 0.830 0.750 0.803
Y 0.364 0.750 0.847
Y 0.636 0.250 0.153
Te 0.131 0.250 0.829
Te 0.349 0.750 0.559
Te 0.416 0.750 0.134
Te 0.584 0.250 0.866
Te 0.651 0.250 0.441
Te 0.869 0.750 0.171
Pb 0.140 0.250 0.556
Pb 0.860 0.750 0.444


No. 3
# Mg3Sn2O7
Computed PXRD pattern, Cu Kα X-rays. Input: a cell relaxed with GGA-PBE.

Largest 8 diffraction maxima, in order of falling intensity, 15° ≤ 2θ ≤ 90°:
| 2θ/deg | I (rel.) |
| --- | --- |
| 33.49 | 100 |
| 23.63 | 76 |
| 19.05 | 44 |
| 59.51 | 32 |
| 32.69 | 30 |
| 33.21 | 27 |
| 47.29 | 27 |
| 58.86 | 24 |

Cell and atoms:
abc: 9.700 9.700 5.478
angles: 90.00 90.00 32.30
Fractional coordinates of all 24 atoms:
Mg 0.067 0.532 0.592
Mg 0.237 0.763 0.500
Mg 0.468 0.933 0.592
Mg 0.532 0.067 0.092
Mg 0.763 0.237 0.000
Mg 0.933 0.468 0.092
Sn 0.147 0.642 0.036
Sn 0.358 0.853 0.036
Sn 0.642 0.147 0.536
Sn 0.853 0.358 0.536
O 0.068 0.207 0.848
O 0.123 0.877 0.126
O 0.172 0.413 0.959
O 0.207 0.068 0.348
O 0.332 0.513 0.699
O 0.413 0.172 0.459
O 0.487 0.668 0.699
O 0.513 0.332 0.199
O 0.587 0.828 0.959
O 0.668 0.487 0.199
O 0.793 0.932 0.848
O 0.828 0.587 0.459
O 0.877 0.123 0.626
O 0.932 0.793 0.348